Structure and computed PXRD pattern of Li2Ni3B3O9 (a DFT-relaxed cell (GGA+U, Alexandria); Cu Kα (λ = 1.5418 Å)).

Peak list (10 most intense, 2θ = 10–90°, sorted by position)
| 2θ (°) | Rel. int. | hkl |
| --- | --- | --- |
| 21.93 | 100 | 1 0 -2 |
| 33.76 | 10 | 2 0 1 |
| 36.94 | 63 | 1 2 -2 |
| 38.44 | 14 | 0 0 3 |
| 39.18 | 11 | 2 2 0 |
| 45.36 | 11 | 3 2 -2 |
| 49.09 | 14 | 0 2 3 |
| 56.05 | 15 | 4 2 -1 |
| 60.90 | 10 | 0 4 0 |
| 65.52 | 12 | 1 4 -2 |

Structure:
```
34
Lattice="8.0972 0.0000 0.0000 0.0000 6.0853 0.0000 -4.0273 0.0000 7.0265" Properties=species:S:1:pos:R:3 pbc="T T T"
Li 0.0000 0.0000 0.0000
Li -4.0130 3.0426 7.0204
Li -0.7007 3.0426 4.7276
Li 3.7355 0.0000 2.9693
Ni 2.6520 1.5252 0.4631
Ni 2.6520 4.5601 0.4631
Ni 2.0068 1.5191 4.9820
Ni 2.0068 4.5662 4.9820
Ni 6.4637 1.5233 2.2475
Ni 6.4637 4.5620 2.2475
B 1.0031 3.0426 2.5326
B 1.0208 0.0000 2.5623
B 5.0893 3.0426 0.1803
B 5.0668 0.0000 0.2512
B 5.0589 1.5114 4.9430
B 5.0589 4.5739 4.9430
O -1.8978 1.6111 4.1913
O -1.8978 4.4742 4.1913
O -3.0056 1.5114 6.3253
O -3.0056 4.5739 6.3253
O -0.2820 3.0426 1.9953
O -0.2460 0.0000 2.0107
O 2.0637 3.0426 1.6620
O 2.1353 0.0000 1.7313
O 1.1505 3.0426 3.9068
O 1.2399 0.0000 3.9201
O -0.2102 3.0426 6.6334
O -0.2215 0.0000 6.7241
O 2.1893 3.0426 6.3783
O 2.1665 0.0000 6.4606
O 5.2313 3.0426 1.5481
O 5.2035 0.0000 1.6448
O 3.8501 1.4282 4.2898
O 3.8501 4.6571 4.2898
```